# 1
# TbCe2As2Se2
Theoretical powder XRD pattern, copper Kα. Input: a structure optimized by DFT (PBE).
Intensities are scaled so that the largest is 100.

The 12 most intense peaks (2θ = 10–90°), by angle:
| two_theta | I/Imax | index |
| --- | --- | --- |
| 12.1 | 46 | 0 0 2 |
| 23.5 | 85 | 1 1 0 |
| 24.7 | 27 | 1 0 3 |
| 33.5 | 100 | 2 0 0 |
| 34.2 | 21 | 1 1 4 |
| 35.0 | 94 | 1 0 5 |
| 48.1 | 36 | 2 2 0 |
| 49.3 | 72 | 2 1 5 |
| 54.2 | 17 | 3 1 0 |
| 60.9 | 19 | 3 0 5 |
| 71.3 | 24 | 3 2 5 |
| 81.1 | 17 | 4 1 5 |

Crystal structure
```
data_TbCe2As2Se2
_chemical_formula_sum 'Tb2 Ce4 As4 Se4'
_space_group_name_H-M_alt 'I 4/m m m'
_space_group_IT_number 139
_space_group_name_Hall '-I 4 2'
_cell_length_a 5.3510
_cell_length_b 5.3510
_cell_length_c 14.5842
_cell_angle_alpha 90.00
_cell_angle_beta 90.00
_cell_angle_gamma 90.00
loop_
_atom_site_label
_atom_site_fract_x
_atom_site_fract_y
_atom_site_fract_z
Tb1 0.0000 0.0000 0.0000
Ce1 0.0000 0.0000 0.3818
As1 0.0000 0.5000 0.0000
Se1 0.0000 0.0000 0.1938
```



# 2
# Ce4TeAsSe2
Theoretical powder XRD pattern, copper Kα. Input: a structure optimized by DFT (PBE).
Intensities are scaled so that the largest is 100.

The 12 most intense peaks (2θ = 10–90°), by angle:
| two_theta | I/Imax | index |
| --- | --- | --- |
| 29.5 | 100 | 2 2 0 |
| 42.1 | 12 | 0 4 0 |
| 42.2 | 49 | 2 2 4 |
| 42.3 | 12 | 4 0 0 |
| 52.2 | 13 | 0 4 4 |
| 52.5 | 13 | 4 0 4 |
| 61.2 | 12 | 0 0 8 |
| 69.2 | 5 | 2 6 0 |
| 69.4 | 22 | 2 2 8 |
| 69.6 | 6 | 6 2 0 |
| 77.0 | 12 | 0 4 8 |
| 77.4 | 8 | 6 2 4 |

Crystal structure
```
data_Ce4TeAsSe2
_chemical_formula_sum 'Ce16 Te4 As4 Se8'
_space_group_name_H-M_alt 'I m m a'
_space_group_IT_number 74
_space_group_name_Hall '-I 2b 2'
_cell_length_a 8.5372
_cell_length_b 8.5883
_cell_length_c 12.1124
_cell_angle_alpha 90.00
_cell_angle_beta 90.00
_cell_angle_gamma 90.00
loop_
_atom_site_label
_atom_site_fract_x
_atom_site_fract_y
_atom_site_fract_z
Ce1 0.0000 0.0154 0.2478
Ce2 0.2457 0.2500 0.0073
Te1 0.2500 0.2500 0.7500
As1 0.0000 0.0000 0.0000
Se1 0.0000 0.0000 0.5000
Se2 0.2500 0.2500 0.2500
```



# 3
# Ce6Te3AsSe2
Theoretical powder XRD pattern, copper Kα. Input: a structure optimized by DFT (PBE).
Intensities are scaled so that the largest is 100.

The 12 most intense peaks (2θ = 10–90°), by angle:
| two_theta | I/Imax | index |
| --- | --- | --- |
| 29.0 | 100 | 1 3 1 |
| 31.6 | 5 | 2 0 1 |
| 41.2 | 36 | 2 0 2 |
| 41.9 | 38 | 0 6 0 |
| 50.5 | 6 | 0 0 4 |
| 51.8 | 20 | 4 0 0 |
| 60.2 | 12 | 2 6 2 |
| 67.7 | 14 | 3 3 3 |
| 68.7 | 17 | 4 6 0 |
| 74.5 | 4 | 1 3 5 |
| 76.0 | 12 | 5 3 1 |
| 76.5 | 7 | 6 0 -2 |

Crystal structure
```
data_Ce6Te3AsSe2
_chemical_formula_sum 'Ce12 Te6 As2 Se4'
_space_group_name_H-M_alt 'C 1 2/m 1'
_space_group_IT_number 12
_space_group_name_Hall '-C 2y'
_cell_length_a 7.4688
_cell_length_b 12.9393
_cell_length_c 7.6419
_cell_angle_alpha 90.00
_cell_angle_beta 109.02
_cell_angle_gamma 90.00
loop_
_atom_site_label
_atom_site_fract_x
_atom_site_fract_y
_atom_site_fract_z
Ce1 0.2405 0.1655 0.2248
Ce2 0.2439 0.5000 0.2250
Te1 0.0000 0.1672 0.5000
Te2 0.0000 0.5000 0.5000
As1 0.0000 0.0000 0.0000
Se1 0.0000 0.3334 0.0000
```



# 4
# CeZnAsSe
Theoretical powder XRD pattern, copper Kα. Input: a structure optimized by DFT (PBE).
Intensities are scaled so that the largest is 100.

The 12 most intense peaks (2θ = 10–90°), by angle:
| two_theta | I/Imax | index |
| --- | --- | --- |
| 13.4 | 37 | 0 0 6 |
| 25.5 | 37 | 1 0 4 |
| 28.6 | 82 | 1 0 7 |
| 32.9 | 75 | 1 0 10 |
| 38.1 | 35 | 1 0 13 |
| 41.9 | 100 | 1 1 0 |
| 45.8 | 40 | 0 1 17 |
| 51.5 | 16 | 0 2 7 |
| 54.3 | 18 | 0 2 10 |
| 70.8 | 16 | 2 1 10 |
| 76.5 | 16 | 3 0 0 |
| 79.3 | 16 | 1 2 17 |

Crystal structure
```
data_CeZnAsSe
_chemical_formula_sum 'Ce6 Zn6 As6 Se6'
_space_group_name_H-M_alt 'R -3 m'
_space_group_IT_number 166
_space_group_name_Hall '-R 3 2"'
_cell_length_a 4.3159
_cell_length_b 4.3159
_cell_length_c 39.6799
_cell_angle_alpha 90.00
_cell_angle_beta 90.00
_cell_angle_gamma 120.00
loop_
_atom_site_label
_atom_site_fract_x
_atom_site_fract_y
_atom_site_fract_z
Ce1 0.0000 0.0000 0.0887
Zn1 0.0000 0.0000 0.3091
As1 0.0000 0.0000 0.3743
Se1 0.0000 0.0000 0.2097
```



# 5
# CeSm2As3
Theoretical powder XRD pattern, copper Kα. Input: a structure optimized by DFT (PBE).
Intensities are scaled so that the largest is 100.

The 10 most intense peaks (2θ = 10–90°), by angle:
| two_theta | I/Imax | index |
| --- | --- | --- |
| 25.9 | 18 | 1 1 0 |
| 30.0 | 100 | 1 0 3 |
| 42.9 | 75 | 2 0 0 |
| 50.8 | 9 | 1 1 6 |
| 53.2 | 26 | 2 2 0 |
| 62.3 | 12 | 2 0 6 |
| 68.6 | 4 | 0 1 9 |
| 70.7 | 34 | 3 0 3 |
| 78.7 | 25 | 3 2 3 |
| 84.5 | 3 | 2 1 9 |

Crystal structure
```
data_CeSm2As3
_chemical_formula_sum 'Ce2 Sm4 As6'
_space_group_name_H-M_alt 'I m m m'
_space_group_IT_number 71
_space_group_name_Hall '-I 2 2'
_cell_length_a 4.2166
_cell_length_b 5.9567
_cell_length_c 12.6390
_cell_angle_alpha 90.00
_cell_angle_beta 90.00
_cell_angle_gamma 90.00
loop_
_atom_site_label
_atom_site_fract_x
_atom_site_fract_y
_atom_site_fract_z
Ce1 0.0000 0.0000 0.0000
Sm1 0.0000 0.0000 0.3331
As1 0.0000 0.5000 0.0000
As2 0.0000 0.5000 0.3352
```



# 6
# Ce3SmAs4
Theoretical powder XRD pattern, copper Kα. Input: a structure optimized by DFT (PBE).
Intensities are scaled so that the largest is 100.

The 10 most intense peaks (2θ = 10–90°), by angle:
| two_theta | I/Imax | index |
| --- | --- | --- |
| 25.9 | 16 | 1 1 2 |
| 30.0 | 100 | 2 0 0 |
| 42.9 | 75 | 2 2 0 |
| 50.8 | 8 | 3 1 2 |
| 53.2 | 26 | 2 2 4 |
| 62.3 | 12 | 4 0 0 |
| 68.6 | 3 | 3 3 2 |
| 70.6 | 34 | 4 2 0 |
| 78.6 | 25 | 4 2 4 |
| 84.4 | 3 | 1 1 10 |

Crystal structure
```
data_Ce3SmAs4
_chemical_formula_sum 'Ce6 Sm2 As8'
_space_group_name_H-M_alt 'I 4/m m m'
_space_group_IT_number 139
_space_group_name_Hall '-I 4 2'
_cell_length_a 5.9639
_cell_length_b 5.9639
_cell_length_c 11.9252
_cell_angle_alpha 90.00
_cell_angle_beta 90.00
_cell_angle_gamma 90.00
loop_
_atom_site_label
_atom_site_fract_x
_atom_site_fract_y
_atom_site_fract_z
Ce1 0.0000 0.0000 0.0000
Ce2 0.0000 0.5000 0.2500
Sm1 0.0000 0.0000 0.5000
As1 0.0000 0.0000 0.2488
As2 0.0000 0.5000 0.0000
```



# 7
# Ce4SmAs5
Theoretical powder XRD pattern, copper Kα. Input: a structure optimized by DFT (PBE).
Intensities are scaled so that the largest is 100.

The 11 most intense peaks (2θ = 10–90°), by angle:
| two_theta | I/Imax | index |
| --- | --- | --- |
| 25.9 | 16 | 1 0 5 |
| 30.0 | 100 | 1 1 0 |
| 42.9 | 75 | 2 0 0 |
| 50.8 | 8 | 2 1 5 |
| 53.2 | 26 | 2 0 10 |
| 62.3 | 12 | 2 2 0 |
| 68.6 | 3 | 3 0 5 |
| 70.6 | 22 | 3 1 0 |
| 70.6 | 11 | 1 1 20 |
| 78.6 | 25 | 3 1 10 |
| 84.4 | 2 | 3 2 5 |

Crystal structure
```
data_Ce4SmAs5
_chemical_formula_sum 'Ce8 Sm2 As10'
_space_group_name_H-M_alt 'I 4/m m m'
_space_group_IT_number 139
_space_group_name_Hall '-I 4 2'
_cell_length_a 4.2189
_cell_length_b 4.2189
_cell_length_c 29.8104
_cell_angle_alpha 90.00
_cell_angle_beta 90.00
_cell_angle_gamma 90.00
loop_
_atom_site_label
_atom_site_fract_x
_atom_site_fract_y
_atom_site_fract_z
Ce1 0.0000 0.0000 0.0995
Ce2 0.0000 0.0000 0.3001
Sm1 0.0000 0.0000 0.5000
As1 0.0000 0.0000 0.0000
As2 0.0000 0.0000 0.1999
As3 0.0000 0.0000 0.3999
```



# 8
# CeSm2ZrAs4
Theoretical powder XRD pattern, copper Kα. Input: a structure optimized by DFT (PBE).
Intensities are scaled so that the largest is 100.

The 12 most intense peaks (2θ = 10–90°), by angle:
| two_theta | I/Imax | index |
| --- | --- | --- |
| 26.5 | 14 | 0 0 2 |
| 30.7 | 100 | 1 1 1 |
| 43.8 | 12 | 2 0 2 |
| 44.0 | 61 | 0 2 0 |
| 54.5 | 13 | 4 0 0 |
| 54.6 | 13 | 2 2 -2 |
| 63.8 | 8 | 2 2 2 |
| 72.5 | 16 | 1 3 1 |
| 72.7 | 11 | 5 1 -3 |
| 80.7 | 8 | 5 1 1 |
| 80.8 | 10 | 3 3 -1 |
| 80.9 | 6 | 4 2 -4 |

Crystal structure
```
data_CeSm2ZrAs4
_chemical_formula_sum 'Ce1 Sm2 Zr1 As4'
_space_group_name_H-M_alt 'P 1 2/m 1'
_space_group_IT_number 10
_space_group_name_Hall '-P 2y'
_cell_length_a 7.1287
_cell_length_b 4.1182
_cell_length_c 7.1378
_cell_angle_alpha 90.00
_cell_angle_beta 109.26
_cell_angle_gamma 90.00
loop_
_atom_site_label
_atom_site_fract_x
_atom_site_fract_y
_atom_site_fract_z
Ce1 0.0000 0.0000 0.0000
Sm1 0.0000 0.5000 0.5000
Sm2 0.5000 0.0000 0.5000
Zr1 0.5000 0.5000 0.0000
As1 0.2567 0.5000 0.2410
As2 0.2636 0.0000 0.7653
```